BaPr2PuO8: computed powder X-ray diffraction pattern (copper Kα), based on a structure optimized by DFT (GGA-PBE).
Peak positions follow from Bragg's law for the DFT cell and can differ from measured ones.

Largest 10 diffraction maxima, sorted by position, 10° ≤ 2θ ≤ 90°:
2θ (°), Rel. int.
11.1, 21
24.7, 67
27.7, 100
28.0, 54
30.6, 54
32.8, 22
42.2, 22
43.4, 42
47.5, 30
49.3, 22

Atomic structure:
Cell lengths 4.3172, 7.9904, 5.5091 Å; angles 90.00, 97.20, 90.00 degrees
Element x y z (fractional)
Ba1 0.0000 0.0000 0.0000
Pr1 0.5000 0.2635 0.5000
Pr2 0.5000 0.7365 0.5000
Pu1 0.0000 0.5000 0.0000
O1 0.0576 0.3054 0.7648
O2 0.0576 0.6946 0.7648
O3 0.4137 0.5000 0.2148
O4 0.4688 0.0000 0.7045
O5 0.5312 0.0000 0.2955
O6 0.5863 0.5000 0.7852
O7 0.9424 0.3054 0.2352
O8 0.9424 0.6946 0.2352

***

LiTaZn2N4: computed powder X-ray diffraction pattern (copper Kα), based on a structure optimized by DFT (GGA-PBE).
Peak positions follow from Bragg's law for the DFT cell and can differ from measured ones.

Largest 10 diffraction maxima, sorted by position, 10° ≤ 2θ ≤ 90°:
2θ (°), Rel. int.
18.9, 85
24.3, 89
28.5, 56
29.0, 31
35.7, 100
36.1, 47
42.6, 39
51.1, 43
63.4, 35
68.7, 33

Atomic structure:
Cell lengths 4.2424, 7.2627, 6.1543 Å; angles 90.00, 90.00, 90.00 degrees
Element x y z (fractional)
Li1 0.2500 0.2500 0.1790
Li2 0.7500 0.7500 0.8210
Ta1 0.2500 0.7500 0.1697
Ta2 0.7500 0.2500 0.8303
Zn1 0.2500 0.5188 0.6684
Zn2 0.2500 0.9812 0.6684
Zn3 0.7500 0.0188 0.3316
Zn4 0.7500 0.4812 0.3316
N1 0.2500 0.2500 0.8191
N2 0.2500 0.5136 0.3337
N3 0.2500 0.7500 0.8504
N4 0.2500 0.9864 0.3337
N5 0.7500 0.0136 0.6663
N6 0.7500 0.2500 0.1496
N7 0.7500 0.4864 0.6663
N8 0.7500 0.7500 0.1809

***

Ac3In7Pt4: computed powder X-ray diffraction pattern (copper Kα), based on a structure optimized by DFT (GGA-PBE).
Peak positions follow from Bragg's law for the DFT cell and can differ from measured ones.

Largest 10 diffraction maxima, sorted by position, 10° ≤ 2θ ≤ 90°:
2θ (°), Rel. int.
26.9, 29
31.3, 100
32.2, 53
32.4, 29
32.7, 91
32.8, 29
37.0, 24
37.7, 36
39.2, 70
39.7, 30

Atomic structure:
Cell lengths 8.9008, 8.9008, 10.5069 Å; angles 122.38, 122.38, 29.91 degrees
Element x y z (fractional)
Ac1 0.0000 0.0000 0.0000
Ac2 0.3079 0.3079 0.2976
Ac3 0.6921 0.6921 0.7024
In1 0.0000 0.0000 0.5000
In2 0.1627 0.1627 0.4302
In3 0.3201 0.3201 0.9750
In4 0.4932 0.4932 0.7118
In5 0.5068 0.5068 0.2882
In6 0.6799 0.6799 0.0250
In7 0.8373 0.8373 0.5698
Pt1 0.1188 0.1188 0.8437
Pt2 0.3389 0.3389 0.7297
Pt3 0.6611 0.6611 0.2703
Pt4 0.8812 0.8812 0.1563

***

Ca2MgMn: computed powder X-ray diffraction pattern (copper Kα), based on a structure optimized by DFT (GGA-PBE).
Peak positions follow from Bragg's law for the DFT cell and can differ from measured ones.

Largest 10 diffraction maxima, sorted by position, 10° ≤ 2θ ≤ 90°:
2θ (°), Rel. int.
30.4, 100
32.0, 55
34.1, 66
35.9, 39
36.8, 44
47.7, 26
48.8, 30
59.9, 23
61.2, 26
69.6, 17

Atomic structure:
Cell lengths 3.8132, 4.9965, 6.4752 Å; angles 90.00, 107.02, 90.00 degrees
Element x y z (fractional)
Ca1 0.0000 0.0000 0.0000
Ca2 0.3128 0.5000 0.6276
Mg1 0.5972 0.5000 0.1955
Mn1 0.7196 0.0000 0.4405

***

Li5MgTl6: computed powder X-ray diffraction pattern (copper Kα), based on a structure optimized by DFT (GGA-PBE).
Peak positions follow from Bragg's law for the DFT cell and can differ from measured ones.

Largest 10 diffraction maxima, sorted by position, 10° ≤ 2θ ≤ 90°:
2θ (°), Rel. int.
24.3, 56
25.8, 97
35.7, 100
36.8, 24
36.9, 23
44.6, 23
44.7, 23
56.9, 22
59.2, 20
63.5, 19

Atomic structure:
Cell lengths 7.7025, 7.7025, 7.3311 Å; angles 90.00, 90.00, 143.01 degrees
Element x y z (fractional)
Li1 0.0000 0.0000 0.0000
Li2 0.3347 0.6653 0.0000
Li3 0.3351 0.6649 0.5000
Li4 0.6653 0.3347 0.0000
Li5 0.6649 0.3351 0.5000
Mg1 0.0000 0.0000 0.5000
Tl1 0.1693 0.8307 0.2439
Tl2 0.1693 0.8307 0.7561
Tl3 0.5000 0.5000 0.2417
Tl4 0.5000 0.5000 0.7583
Tl5 0.8307 0.1693 0.2439
Tl6 0.8307 0.1693 0.7561

***

PI2Cl: computed powder X-ray diffraction pattern (copper Kα), based on a structure optimized by DFT (GGA-PBE).
Peak positions follow from Bragg's law for the DFT cell and can differ from measured ones.

Largest 10 diffraction maxima, sorted by position, 10° ≤ 2θ ≤ 90°:
2θ (°), Rel. int.
16.6, 97
19.9, 32
21.9, 91
25.2, 88
26.3, 43
27.5, 100
30.6, 39
37.9, 24
44.3, 24
47.1, 32

Atomic structure:
Cell lengths 4.8099, 5.9438, 7.5134 Å; angles 109.54, 104.46, 100.56 degrees
Element x y z (fractional)
P1 0.0000 0.0000 0.0000
I1 0.1791 0.9197 0.7068
I2 0.4733 0.2108 0.2938
Cl1 0.8801 0.6473 0.9996

***

Pr2CdPd2: computed powder X-ray diffraction pattern (copper Kα), based on a structure optimized by DFT (GGA-PBE).
Peak positions follow from Bragg's law for the DFT cell and can differ from measured ones.

Largest 10 diffraction maxima, sorted by position, 10° ≤ 2θ ≤ 90°:
2θ (°), Rel. int.
32.0, 34
32.4, 10
34.1, 100
36.4, 40
45.3, 16
53.5, 13
59.4, 19
65.2, 10
68.8, 11
76.3, 9

Atomic structure:
Cell lengths 7.8104, 7.8104, 4.0070 Å; angles 90.00, 90.00, 90.00 degrees
Element x y z (fractional)
Pr1 0.1743 0.3257 0.0000
Pr2 0.3257 0.8257 0.0000
Pr3 0.6743 0.1743 0.0000
Pr4 0.8257 0.6743 0.0000
Cd1 0.0000 0.0000 0.5000
Cd2 0.5000 0.5000 0.5000
Pd1 0.1272 0.6272 0.5000
Pd2 0.3728 0.1272 0.5000
Pd3 0.6272 0.8728 0.5000
Pd4 0.8728 0.3728 0.5000

***

Pu2Ir3Ru: computed powder X-ray diffraction pattern (copper Kα), based on a structure optimized by DFT (GGA-PBE).
Peak positions follow from Bragg's law for the DFT cell and can differ from measured ones.

Largest 10 diffraction maxima, sorted by position, 10° ≤ 2θ ≤ 90°:
2θ (°), Rel. int.
33.4, 16
33.6, 33
39.5, 100
39.6, 27
41.3, 28
59.9, 17
63.9, 27
64.1, 11
70.3, 17
70.6, 17

Atomic structure:
Cell lengths 5.3367, 5.3367, 5.3367 Å; angles 60.27, 60.27, 60.27 degrees
Element x y z (fractional)
Pu1 0.1250 0.1250 0.1250
Pu2 0.8750 0.8750 0.8750
Ir1 0.0000 0.5000 0.5000
Ir2 0.5000 0.0000 0.5000
Ir3 0.5000 0.5000 0.0000
Ru1 0.5000 0.5000 0.5000

***

SrAc2TlO6: computed powder X-ray diffraction pattern (copper Kα), based on a structure optimized by DFT (GGA-PBE).
Peak positions follow from Bragg's law for the DFT cell and can differ from measured ones.

Largest 10 diffraction maxima, sorted by position, 10° ≤ 2θ ≤ 90°:
2θ (°), Rel. int.
19.8, 22
27.6, 100
28.5, 98
40.1, 43
44.5, 27
48.3, 16
50.0, 44
50.5, 28
59.0, 14
66.4, 17

Atomic structure:
Cell lengths 6.4657, 6.4657, 6.4657 Å; angles 57.89, 57.89, 57.89 degrees
Element x y z (fractional)
Sr1 0.0000 0.0000 0.0000
Ac1 0.2744 0.2744 0.2744
Ac2 0.7765 0.7765 0.7765
Tl1 0.4939 0.4939 0.4939
O1 0.1177 0.6716 0.3860
O2 0.2030 0.6080 0.8553
O3 0.3860 0.1177 0.6716
O4 0.6080 0.8553 0.2030
O5 0.6716 0.3860 0.1177
O6 0.8553 0.2030 0.6080

***

RbRu2F11: computed powder X-ray diffraction pattern (copper Kα), based on a structure optimized by DFT (GGA-PBE).
Peak positions follow from Bragg's law for the DFT cell and can differ from measured ones.

Largest 10 diffraction maxima, sorted by position, 10° ≤ 2θ ≤ 90°:
2θ (°), Rel. int.
15.6, 56
20.3, 100
21.9, 76
22.0, 83
24.0, 30
24.2, 24
29.0, 25
31.4, 25
41.2, 42
42.7, 37

Atomic structure:
Cell lengths 8.9099, 8.9099, 8.9099 Å; angles 114.59, 113.67, 100.51 degrees
Element x y z (fractional)
Rb1 0.2500 0.2500 0.0000
Rb2 0.7500 0.7500 0.0000
Ru1 0.1523 0.6444 0.7967
Ru2 0.3477 0.1444 0.4921
Ru3 0.6523 0.8556 0.5079
Ru4 0.8477 0.3556 0.2033
F1 0.0000 0.5000 0.5000
F2 0.0610 0.3740 0.2003
F3 0.1261 0.4237 0.7844
F4 0.1393 0.9237 0.2976
F5 0.1737 0.8607 0.7997
F6 0.2086 0.2745 0.4830
F7 0.2914 0.7745 0.0659
F8 0.3263 0.1260 0.6870
F9 0.3607 0.6583 0.7844
F10 0.3739 0.1583 0.2976
F11 0.4390 0.6393 0.3130
F12 0.5000 0.0000 0.5000
F13 0.5610 0.3607 0.6870
F14 0.6261 0.8417 0.7024
F15 0.6393 0.3417 0.2156
F16 0.6737 0.8740 0.3130
F17 0.7086 0.2255 0.9341
F18 0.7914 0.7255 0.5170
F19 0.8263 0.1393 0.2003
F20 0.8607 0.0763 0.7024
F21 0.8739 0.5763 0.2156
F22 0.9390 0.6260 0.7997

***

KPaBeS4: computed powder X-ray diffraction pattern (copper Kα), based on a structure optimized by DFT (GGA-PBE).
Peak positions follow from Bragg's law for the DFT cell and can differ from measured ones.

Largest 10 diffraction maxima, sorted by position, 10° ≤ 2θ ≤ 90°:
2θ (°), Rel. int.
10.7, 100
20.6, 52
20.9, 28
25.4, 15
28.0, 18
30.1, 24
33.3, 21
35.6, 20
35.9, 16
41.9, 15

Atomic structure:
Cell lengths 6.1824, 6.3666, 8.7631 Å; angles 90.00, 108.71, 90.00 degrees
Element x y z (fractional)
K1 0.2382 0.2500 0.4427
K2 0.7618 0.7500 0.5573
Pa1 0.2603 0.2500 0.9432
Pa2 0.7397 0.7500 0.0568
Be1 0.2778 0.7500 0.1627
Be2 0.7222 0.2500 0.8373
S1 0.0648 0.7500 0.9231
S2 0.0877 0.7500 0.3208
S3 0.4919 0.5035 0.7999
S4 0.4919 0.9965 0.7999
S5 0.5081 0.0035 0.2001
S6 0.5081 0.4965 0.2001
S7 0.9123 0.2500 0.6792
S8 0.9352 0.2500 0.0769

***

Pm3Ga2Ru2: computed powder X-ray diffraction pattern (copper Kα), based on a structure optimized by DFT (GGA-PBE).
Peak positions follow from Bragg's law for the DFT cell and can differ from measured ones.

Largest 10 diffraction maxima, sorted by position, 10° ≤ 2θ ≤ 90°:
2θ (°), Rel. int.
29.7, 28
32.1, 49
33.5, 52
33.7, 50
34.3, 55
37.7, 72
38.6, 44
38.8, 100
42.6, 32
57.5, 39

Atomic structure:
Cell lengths 5.6792, 7.8847, 14.0050 Å; angles 90.00, 90.00, 90.00 degrees
Element x y z (fractional)
Pm1 0.1224 0.2394 0.2500
Pm2 0.1224 0.2606 0.7500
Pm3 0.3462 0.5981 0.0954
Pm4 0.3462 0.5981 0.4046
Pm5 0.3462 0.9019 0.5954
Pm6 0.3462 0.9019 0.9046
Pm7 0.6538 0.0981 0.0954
Pm8 0.6538 0.0981 0.4046
Pm9 0.6538 0.4019 0.5954
Pm10 0.6538 0.4019 0.9046
Pm11 0.8776 0.7394 0.2500
Pm12 0.8776 0.7606 0.7500
Ga1 0.1269 0.2500 0.0000
Ga2 0.1269 0.2500 0.5000
Ga3 0.3695 0.6050 0.7500
Ga4 0.3695 0.8950 0.2500
Ga5 0.6305 0.1050 0.7500
Ga6 0.6305 0.3950 0.2500
Ga7 0.8731 0.7500 0.0000
Ga8 0.8731 0.7500 0.5000
Ru1 0.1439 0.5327 0.5938
Ru2 0.1439 0.5327 0.9062
Ru3 0.1439 0.9673 0.0938
Ru4 0.1439 0.9673 0.4062
Ru5 0.8561 0.0327 0.5938
Ru6 0.8561 0.0327 0.9062
Ru7 0.8561 0.4673 0.0938
Ru8 0.8561 0.4673 0.4062